Computed X-ray powder pattern
Compound: TbBi4
Radiation: Cu Kα
Structure: a structure optimized by DFT (GGA-PBE)
Lines closer than 0.1° are merged.

Most intense lines, 15° ≤ 2θ ≤ 90°, low angle first:
d [Å], I_rel
5.889, 14
3.400, 88
2.944, 100
2.082, 77
1.776, 44
1.700, 28
1.351, 19
1.317, 36
1.202, 28
1.133, 15

Cell and atoms:
```
data_TbBi4
_space_group_name_H-M_alt 'P 1'
_space_group_IT_number 1
_space_group_name_Hall 'P 1'
_cell_length_a 5.8889
_cell_length_b 5.8889
_cell_length_c 5.8889
_cell_angle_alpha 90.00
_cell_angle_beta 90.00
_cell_angle_gamma 90.00
loop_
_atom_site_label
_atom_site_type_symbol
_atom_site_fract_x
_atom_site_fract_y
_atom_site_fract_z
Tb1 Tb 0.0000 0.0000 0.0000
Bi1 Bi 0.0000 0.0000 0.5000
Bi2 Bi 0.0000 0.5000 0.0000
Bi3 Bi 0.5000 0.0000 0.0000
Bi4 Bi 0.5000 0.5000 0.5000
```


Computed X-ray powder pattern
Compound: Tb5Bi4Te
Radiation: Cu Kα
Structure: a structure optimized by DFT (GGA-PBE)
Lines closer than 0.1° are merged.

Most intense lines, 15° ≤ 2θ ≤ 90°, low angle first:
d [Å], I_rel
5.343, 1
3.649, 2
3.160, 100
2.234, 78
1.906, 1
1.824, 28
1.580, 13
1.413, 37
1.290, 28
1.117, 9

Cell and atoms:
```
data_Tb5Bi4Te
_space_group_name_H-M_alt 'P 1'
_space_group_IT_number 1
_space_group_name_Hall 'P 1'
_cell_length_a 7.7394
_cell_length_b 7.7394
_cell_length_c 7.7394
_cell_angle_alpha 99.60
_cell_angle_beta 99.60
_cell_angle_gamma 131.78
loop_
_atom_site_label
_atom_site_type_symbol
_atom_site_fract_x
_atom_site_fract_y
_atom_site_fract_z
Tb1 Tb 0.0000 0.0000 0.0000
Tb2 Tb 0.1986 0.6008 0.7994
Tb3 Tb 0.3992 0.1986 0.5979
Tb4 Tb 0.6008 0.8014 0.4021
Tb5 Tb 0.8014 0.3992 0.2006
Bi1 Bi 0.1002 0.2992 0.3994
Bi2 Bi 0.2992 0.8998 0.1990
Bi3 Bi 0.7008 0.1002 0.8010
Bi4 Bi 0.8998 0.7008 0.6006
Te1 Te 0.5000 0.5000 0.0000
```


Computed X-ray powder pattern
Compound: Tb3Bi2Te
Radiation: Cu Kα
Structure: a structure optimized by DFT (GGA-PBE)
Lines closer than 0.1° are merged.

Most intense lines, 15° ≤ 2θ ≤ 90°, low angle first:
d [Å], I_rel
5.699, 2
4.227, 1
3.150, 100
2.227, 78
1.819, 28
1.575, 13
1.409, 37
1.286, 27
1.114, 8
1.113, 2

Cell and atoms:
```
data_Tb3Bi2Te
_space_group_name_H-M_alt 'P 1'
_space_group_IT_number 1
_space_group_name_Hall 'P 1'
_cell_length_a 4.4566
_cell_length_b 13.3528
_cell_length_c 6.3021
_cell_angle_alpha 90.00
_cell_angle_beta 90.00
_cell_angle_gamma 90.00
loop_
_atom_site_label
_atom_site_type_symbol
_atom_site_fract_x
_atom_site_fract_y
_atom_site_fract_z
Tb1 Tb 0.2500 0.0822 0.2494
Tb2 Tb 0.2500 0.4178 0.2494
Tb3 Tb 0.2500 0.7500 0.2503
Tb4 Tb 0.7500 0.2500 0.7497
Tb5 Tb 0.7500 0.5822 0.7506
Tb6 Tb 0.7500 0.9178 0.7506
Bi1 Bi 0.2500 0.0835 0.7495
Bi2 Bi 0.2500 0.4165 0.7495
Bi3 Bi 0.7500 0.5835 0.2505
Bi4 Bi 0.7500 0.9165 0.2505
Te1 Te 0.2500 0.7500 0.7503
Te2 Te 0.7500 0.2500 0.2497
```


Computed X-ray powder pattern
Compound: Tb3BiTe6
Radiation: Cu Kα
Structure: a structure optimized by DFT (GGA-PBE)
Lines closer than 0.1° are merged.

Most intense lines, 15° ≤ 2θ ≤ 90°, low angle first:
d [Å], I_rel
3.571, 24
3.260, 100
3.183, 35
3.156, 29
2.993, 23
2.842, 31
2.457, 21
2.409, 19
2.216, 55
1.819, 20

Cell and atoms:
```
data_Tb3BiTe6
_space_group_name_H-M_alt 'P 1'
_space_group_IT_number 1
_space_group_name_Hall 'P 1'
_cell_length_a 12.7997
_cell_length_b 4.4342
_cell_length_c 12.9316
_cell_angle_alpha 90.00
_cell_angle_beta 109.72
_cell_angle_gamma 90.00
loop_
_atom_site_label
_atom_site_type_symbol
_atom_site_fract_x
_atom_site_fract_y
_atom_site_fract_z
Tb1 Tb 0.0086 0.2500 0.3340
Tb2 Tb 0.3363 0.7500 0.4328
Tb3 Tb 0.4286 0.2500 0.8455
Tb4 Tb 0.5714 0.7500 0.1545
Tb5 Tb 0.6637 0.2500 0.5672
Tb6 Tb 0.9914 0.7500 0.6660
Bi1 Bi 0.1799 0.7500 0.9947
Bi2 Bi 0.8201 0.2500 0.0053
Te1 Te 0.0165 0.2500 0.8746
Te2 Te 0.1219 0.7500 0.4914
Te3 Te 0.2223 0.2500 0.2678
Te4 Te 0.2466 0.7500 0.7925
Te5 Te 0.3979 0.2500 0.0749
Te6 Te 0.4383 0.2500 0.6107
Te7 Te 0.5617 0.7500 0.3893
Te8 Te 0.6021 0.7500 0.9251
Te9 Te 0.7534 0.2500 0.2075
Te10 Te 0.7777 0.7500 0.7322
Te11 Te 0.8781 0.2500 0.5086
Te12 Te 0.9835 0.7500 0.1254
```